Diffraction record for ReC5ClO5. The X-ray diffraction stick pattern is theoretical, not measured: it uses DFT lattice parameters and positions (GGA-PBE) and Cu Kα (weighted mean of Kα1 and Kα2).

Principal peaks in the range 2θ from 5° to 70°, low angle first:
- 2θ = 15.63°, intensity 76
- 2θ = 17.14°, intensity 60
- 2θ = 17.53°, intensity 100
- 2θ = 18.86°, intensity 74
- 2θ = 23.28°, intensity 47
- 2θ = 28.41°, intensity 35
- 2θ = 29.31°, intensity 47
- 2θ = 32.41°, intensity 45
- 2θ = 35.61°, intensity 27
- 2θ = 37.07°, intensity 31

Structure:
```
data_ReC5ClO5
_chemical_formula_sum 'Re4 C20 Cl4 O20'
_space_group_name_H-M_alt 'P n m a'
_space_group_IT_number 62
_cell_length_a 11.302
_cell_length_b 11.339
_cell_length_c 5.816
_cell_angle_alpha 90.00
_cell_angle_beta 90.00
_cell_angle_gamma 90.00
loop_
_space_group_symop_operation_xyz
'x,y,z'
'-x,-y,-z'
'-x+1/2,-y,z+1/2'
'x+1/2,y,-z+1/2'
'x+1/2,-y+1/2,-z+1/2'
'-x+1/2,y+1/2,z+1/2'
'-x,y+1/2,-z'
'x,-y+1/2,z'
loop_
_atom_site_label
_atom_site_type_symbol
_atom_site_fract_x
_atom_site_fract_y
_atom_site_fract_z
Re1 Re 0.126 0.250 0.055
C1 C 0.025 0.250 0.788
C2 C 0.026 0.123 0.198
C3 C 0.228 0.124 0.915
Cl1 Cl 0.243 0.750 0.898
O1 O 0.030 0.547 0.730
O2 O 0.038 0.750 0.372
O3 O 0.215 0.550 0.335
```

***

Diffraction record for LaPr2Si4Ni2Au2. The X-ray diffraction stick pattern is theoretical, not measured: it uses DFT lattice parameters and positions (GGA-PBE) and Cu Kα (weighted mean of Kα1 and Kα2).

Principal peaks in the range 2θ from 5° to 70°, low angle first:
- 2θ = 7.30°, intensity 53
- 2θ = 14.63°, intensity 7
- 2θ = 23.93°, intensity 9
- 2θ = 29.51°, intensity 12
- 2θ = 33.29°, intensity 100
- 2θ = 37.32°, intensity 11
- 2θ = 41.93°, intensity 16
- 2θ = 42.40°, intensity 8
- 2θ = 43.19°, intensity 14
- 2θ = 61.77°, intensity 10

Structure:
```
data_LaPr2Si4Ni2Au2
_chemical_formula_sum 'La2 Pr4 Si8 Ni4 Au4'
_space_group_name_H-M_alt 'I m m m'
_space_group_IT_number 71
_space_group_name_Hall '-I 2 2'
_cell_length_a 4.189
_cell_length_b 4.309
_cell_length_c 24.212
_cell_angle_alpha 90.00
_cell_angle_beta 90.00
_cell_angle_gamma 90.00
loop_
_atom_site_label
_atom_site_type_symbol
_atom_site_fract_x
_atom_site_fract_y
_atom_site_fract_z
La1 La 0.000 0.000 0.000
Pr1 Pr 0.000 0.500 0.356
Si1 Si 0.000 0.000 0.449
Si2 Si 0.000 0.500 0.186
Ni1 Ni 0.000 0.500 0.093
Au1 Au 0.000 0.000 0.249
```

***

Diffraction record for ZrScGa2Co4. The X-ray diffraction stick pattern is theoretical, not measured: it uses DFT lattice parameters and positions (GGA-PBE) and Cu Kα (weighted mean of Kα1 and Kα2).

Principal peaks in the range 2θ from 5° to 70°, low angle first:
- 2θ = 11.03°, intensity 7
- 2θ = 22.17°, intensity 11
- 2θ = 25.22°, intensity 7
- 2θ = 33.83°, intensity 42
- 2θ = 42.41°, intensity 90
- 2θ = 44.44°, intensity 100
- 2θ = 50.20°, intensity 7
- 2θ = 52.49°, intensity 10
- 2θ = 56.99°, intensity 9
- 2θ = 63.11°, intensity 25

Structure:
```
data_ZrScGa2Co4
_chemical_formula_sum 'Zr1 Sc1 Ga2 Co4'
_space_group_name_H-M_alt 'P -6 m 2'
_space_group_IT_number 187
_space_group_name_Hall 'P -6 2'
_cell_length_a 4.0772
_cell_length_b 4.0772
_cell_length_c 8.0192
_cell_angle_alpha 90.00
_cell_angle_beta 90.00
_cell_angle_gamma 120.00
loop_
_atom_site_label
_atom_site_type_symbol
_atom_site_fract_x
_atom_site_fract_y
_atom_site_fract_z
Zr1 Zr 0.0000 0.0000 0.0000
Sc1 Sc 0.6667 0.3333 0.5000
Ga1 Ga 0.3333 0.6667 0.2534
Co1 Co 0.0000 0.0000 0.3369
Co2 Co 0.6667 0.3333 0.1625
```

***

Diffraction record for SmErZr2Bi2. The X-ray diffraction stick pattern is theoretical, not measured: it uses DFT lattice parameters and positions (GGA-PBE) and Cu Kα (weighted mean of Kα1 and Kα2).

Principal peaks in the range 2θ from 5° to 70°, low angle first:
- 2θ = 29.07°, intensity 55
- 2θ = 30.96°, intensity 58
- 2θ = 31.61°, intensity 29
- 2θ = 33.49°, intensity 49
- 2θ = 36.09°, intensity 100
- 2θ = 41.58°, intensity 61
- 2θ = 53.16°, intensity 27
- 2θ = 54.41°, intensity 25
- 2θ = 60.27°, intensity 21
- 2θ = 64.00°, intensity 20

Structure:
```
data_SmErZr2Bi2
_chemical_formula_sum 'Sm2 Er2 Zr4 Bi4'
_space_group_name_H-M_alt 'I 4 m m'
_space_group_IT_number 107
_space_group_name_Hall 'I 4 -2'
_cell_length_a 4.343
_cell_length_b 4.343
_cell_length_c 16.983
_cell_angle_alpha 90.00
_cell_angle_beta 90.00
_cell_angle_gamma 90.00
loop_
_atom_site_label
_atom_site_type_symbol
_atom_site_fract_x
_atom_site_fract_y
_atom_site_fract_z
Sm1 Sm 0.000 0.000 0.000
Er1 Er 0.000 0.000 0.352
Zr1 Zr 0.000 0.500 0.178
Bi1 Bi 0.000 0.000 0.544
Bi2 Bi 0.000 0.000 0.811
```

***

Diffraction record for CoC5. The X-ray diffraction stick pattern is theoretical, not measured: it uses DFT lattice parameters and positions (GGA-PBE) and Cu Kα (weighted mean of Kα1 and Kα2).

Principal peaks in the range 2θ from 5° to 70°, low angle first:
- 2θ = 22.61°, intensity 100
- 2θ = 37.85°, intensity 16
- 2θ = 39.69°, intensity 81
- 2θ = 44.54°, intensity 85
- 2θ = 46.16°, intensity 64
- 2θ = 56.01°, intensity 82
- 2θ = 61.17°, intensity 6
- 2θ = 62.47°, intensity 15

Structure:
```
data_CoC5
_chemical_formula_sum 'Co1 C5'
_space_group_name_H-M_alt 'P 6/m m m'
_space_group_IT_number 191
_space_group_name_Hall '-P 6 2'
_cell_length_a 4.5419
_cell_length_b 4.5419
_cell_length_c 2.3768
_cell_angle_alpha 90.00
_cell_angle_beta 90.00
_cell_angle_gamma 120.00
loop_
_atom_site_label
_atom_site_type_symbol
_atom_site_fract_x
_atom_site_fract_y
_atom_site_fract_z
Co1 Co 0.0000 0.0000 0.0000
C1 C 0.0000 0.5000 0.5000
C2 C 0.3333 0.6667 0.0000
```

***

Diffraction record for NdSmI2BrN. The X-ray diffraction stick pattern is theoretical, not measured: it uses DFT lattice parameters and positions (GGA-PBE) and Cu Kα (weighted mean of Kα1 and Kα2).

Principal peaks in the range 2θ from 5° to 70°, low angle first:
- 2θ = 9.79°, intensity 83
- 2θ = 25.25°, intensity 40
- 2θ = 26.61°, intensity 84
- 2θ = 29.81°, intensity 51
- 2θ = 30.17°, intensity 63
- 2θ = 30.49°, intensity 100
- 2θ = 32.45°, intensity 39
- 2θ = 40.55°, intensity 51
- 2θ = 40.78°, intensity 49
- 2θ = 44.30°, intensity 38

Structure:
```
data_NdSmI2BrN
_chemical_formula_sum 'Nd4 Sm4 I8 Br4 N4'
_space_group_name_H-M_alt 'C 1 2/m 1'
_space_group_IT_number 12
_cell_length_a 18.760
_cell_length_b 4.089
_cell_length_c 12.074
_cell_angle_alpha 90.00
_cell_angle_beta 122.88
_cell_angle_gamma 90.00
loop_
_space_group_symop_operation_xyz
'x,y,z'
'-x,-y,-z'
'-x,y,-z'
'x,-y,z'
'x+1/2,y+1/2,z'
'-x+1/2,-y+1/2,-z'
'-x+1/2,y+1/2,-z'
'x+1/2,-y+1/2,z'
loop_
_atom_site_label
_atom_site_type_symbol
_atom_site_fract_x
_atom_site_fract_y
_atom_site_fract_z
Nd1 Nd 0.130 0.000 0.277
Sm1 Sm 0.076 0.500 0.962
I1 I 0.050 0.000 0.743
I2 I 0.163 0.500 0.518
Br1 Br 0.209 0.000 0.114
N1 N 0.070 0.500 0.148
```

***

Diffraction record for Ni17Sb. The X-ray diffraction stick pattern is theoretical, not measured: it uses DFT lattice parameters and positions (GGA-PBE) and Cu Kα (weighted mean of Kα1 and Kα2).

Principal peaks in the range 2θ from 5° to 70°, low angle first:
- 2θ = 5.70°, intensity 100
- 2θ = 8.55°, intensity 13
- 2θ = 11.41°, intensity 19
- 2θ = 43.56°, intensity 16
- 2θ = 43.77°, intensity 22
- 2θ = 44.48°, intensity 76
- 2θ = 45.58°, intensity 26
- 2θ = 46.85°, intensity 12
- 2θ = 51.62°, intensity 45
- 2θ = 53.49°, intensity 18

Structure:
```
data_Ni17Sb
_chemical_formula_sum 'Ni34 Sb2'
_space_group_name_H-M_alt 'P 3 m 1'
_space_group_IT_number 156
_cell_length_a 4.9802
_cell_length_b 4.9802
_cell_length_c 31.0238
_cell_angle_alpha 90.00
_cell_angle_beta 90.00
_cell_angle_gamma 120.00
loop_
_space_group_symop_operation_xyz
'x,y,z'
'-y,x-y,z'
'-x+y,-x,z'
'-y,-x,z'
'-x+y,y,z'
'x,x-y,z'
loop_
_atom_site_label
_atom_site_type_symbol
_atom_site_fract_x
_atom_site_fract_y
_atom_site_fract_z
Ni1 Ni 0.0000 0.0000 0.0000
Ni2 Ni 0.0000 0.0000 0.1943
Ni3 Ni 0.0000 0.0000 0.3886
Ni4 Ni 0.0000 0.5000 0.1943
Ni5 Ni 0.0010 0.5005 0.3890
Ni6 Ni 0.1660 0.3320 0.9350
Ni7 Ni 0.1665 0.3330 0.1297
Ni8 Ni 0.1668 0.3336 0.3238
Ni9 Ni 0.3321 0.1661 0.4538
Ni10 Ni 0.3334 0.1667 0.0649
Ni11 Ni 0.3332 0.1666 0.2589
Ni12 Ni 0.3333 0.6667 0.0652
Ni13 Ni 0.3333 0.6667 0.2590
Ni14 Ni 0.5004 0.0008 0.9997
Ni15 Ni 0.6667 0.3333 0.1294
Ni16 Ni 0.6667 0.3333 0.3236
Sb1 Sb 0.3333 0.6667 0.4681
Sb2 Sb 0.6667 0.3333 0.9204
```

***

Diffraction record for TeAuBr8. The X-ray diffraction stick pattern is theoretical, not measured: it uses DFT lattice parameters and positions (GGA-PBE) and Cu Kα (weighted mean of Kα1 and Kα2).

Principal peaks in the range 2θ from 5° to 70°, low angle first:
- 2θ = 9.85°, intensity 37
- 2θ = 14.46°, intensity 50
- 2θ = 15.05°, intensity 67
- 2θ = 20.20°, intensity 36
- 2θ = 26.21°, intensity 100
- 2θ = 27.36°, intensity 43
- 2θ = 28.31°, intensity 92
- 2θ = 31.12°, intensity 82
- 2θ = 35.01°, intensity 55
- 2θ = 38.38°, intensity 42

Structure:
```
data_TeAuBr8
_chemical_formula_sum 'Te2 Au2 Br16'
_space_group_name_H-M_alt 'P -1'
_space_group_IT_number 2
_cell_length_a 7.956
_cell_length_b 9.051
_cell_length_c 10.121
_cell_angle_alpha 86.94
_cell_angle_beta 72.61
_cell_angle_gamma 82.90
loop_
_space_group_symop_operation_xyz
'x,y,z'
'-x,-y,-z'
loop_
_atom_site_label
_atom_site_type_symbol
_atom_site_fract_x
_atom_site_fract_y
_atom_site_fract_z
Te1 Te 0.118 0.256 0.228
Au1 Au 0.495 0.894 0.189
Br1 Br 0.100 0.807 0.542
Br2 Br 0.121 0.682 0.892
Br3 Br 0.145 0.520 0.287
Br4 Br 0.202 0.929 0.143
Br5 Br 0.226 0.159 0.750
Br6 Br 0.418 0.405 0.566
Br7 Br 0.421 0.325 0.966
Br8 Br 0.423 0.116 0.337
```

***

Which formula does entry 1 have?
ReC5ClO5